# Tb2Dy8Ho3
Computed powder diffraction line list, Cu Kα (λ = 1.5418 Å). Input: the PBE geometry in Alexandria.
Peak positions follow from Bragg's law for the DFT cell and can differ from measured ones.

Main lines, by intensity (5 to 70 degrees two-theta):
two_theta  intensity  hkl
33.69  100  2 4 1
32.18  40  0 0 2
31.04  32  0 6 1
29.76  29  1 5 1
58.34  27  2 4 3
25.13  20  2 2 0

Crystal structure
```
data_Tb2Dy8Ho3
_chemical_formula_sum 'Tb4 Dy16 Ho6'
_cell_length_a 7.5689
_cell_length_b 20.2078
_cell_length_c 5.5637
_cell_angle_alpha 90.00
_cell_angle_beta 90.00
_cell_angle_gamma 90.00
_symmetry_space_group_name_H-M 'C m m m'
_symmetry_Int_Tables_number 65
_symmetry_space_group_name_Hall '-C 2 2'
loop_
_atom_site_label
_atom_site_fract_x
_atom_site_fract_y
_atom_site_fract_z
Tb1 0.0000 0.2413 0.0000
Dy1 0.0000 0.1322 0.5000
Dy2 0.0000 0.3333 0.5000
Dy3 0.2113 0.3925 0.0000
Ho1 0.0000 0.0000 0.0000
Ho2 0.2148 0.5000 0.5000
```